For Li2HfP, DFT lattice parameters and positions (GGA-PBE) gives the computed powder diffractogram in this record (CuKα).
Kinematic intensities with the Lorentz-polarization factor, no thermal factor.

Crystal structure
abc: 3.6641 3.6641 20.6950
angles: 90.00 90.00 90.00
Space group I-42d (No. 122)
Asymmetric unit:
Li: 0.2210 0.2500 0.1250 [8 per cell]
Hf: 0.0000 0.0000 0.5000 [4 per cell]
P: 0.0000 0.0000 0.0000 [4 per cell]

Main lines, by angle (2θ from 15° to 90°):
hkl  2θ (°)  intensity
0 0 4  17.14  100
1 0 1  24.67  43
1 0 3  27.56  34
1 1 2  35.72  71
1 1 6  43.70  40
2 0 4  53.04  30